Calculated powder X-ray diffraction pattern of Cs2ZrMoF6 for Cu Kα (weighted mean of Kα1 and Kα2), from DFT lattice parameters and positions (GGA+U).
Intensities are scaled so that the largest is 100.

Most intense lines, 2θ from 10° to 90°, in order of falling intensity:
2θ (°), Rel. int.
27.66, 100
27.85, 49
49.15, 41
39.79, 35
57.13, 23
48.81, 21
39.25, 18
65.06, 18
34.13, 12
57.54, 11

Cell and atoms:
Lattice parameters (Å, degrees): 6.4501 6.4501 6.4501 120.44 120.44 89.24
Atoms (fractional coordinates):
1 Cs 0.2500 0.7500 0.5000
2 Cs 0.7500 0.2500 0.5000
3 Zr 0.0000 0.0000 0.0000
4 Mo 0.5000 0.5000 0.0000
5 F 0.2478 0.2478 0.4956
6 F 0.2478 0.7522 0.0000
7 F 0.2629 0.2629 0.0000
8 F 0.7371 0.7371 0.0000
9 F 0.7522 0.2478 0.0000
10 F 0.7522 0.7522 0.5044